Starting from a crystal structure in Alexandria, relaxed with PBE+U, the X-ray powder pattern of CoH8S2N4O8 was computed for Cu Kα.
Neutral-atom scattering factors, no anomalous dispersion.

Atomic structure:
a b c (Å): 5.1162 6.6014 7.6216
angles (deg): 90.60 107.11 98.30
Space group P-1 (No. 2)
Asymmetric unit:
Co: 0.0000 0.0000 0.0000 x1
H: 0.1419 0.5728 0.7396 x2
H: 0.1854 0.8217 0.6505 x2
H: 0.2724 0.1663 0.4053 x2
H: 0.3126 0.3884 0.2790 x2
S: 0.4673 0.2124 0.8010 x2
N: 0.0572 0.6954 0.6765 x2
N: 0.1823 0.2650 0.3085 x2
O: 0.2262 0.7871 0.1172 x2
O: 0.3281 0.1629 0.9453 x2
O: 0.3559 0.0589 0.6418 x2
O: 0.4283 0.4205 0.7392 x2

Main lines, low angle first (2θ from 5° to 70°):
| hkl | Position (°2θ) | I (rel.) |
| --- | --- | --- |
| 0 0 1 | 12.17 | 100 |
| 0 1 0 | 13.58 | 85 |
| 0 1 1 | 18.78 | 93 |
| 1 -1 0 | 21.13 | 22 |
| -1 1 1 | 21.92 | 19 |
| 1 1 -1 | 24.49 | 93 |
| 1 0 -2 | 25.89 | 41 |
| 1 -1 1 | 26.76 | 68 |
| 0 1 2 | 28.77 | 83 |
| 1 -2 1 | 34.56 | 24 |